(1)
Starting from a crystal structure in Alexandria, relaxed with GGA-PBE, the XRD peak list of PrY2Tl was simulated for Cu Kα (weighted mean of Kα1 and Kα2).
Neutral-atom scattering factors, no anomalous dispersion.

Principal peaks in the range 2θ = 15–90°, in order of falling intensity:
d/Å  Position (°2θ)  I/Imax
2.869  31.17  100
2.600  34.50  40
1.548  59.74  31
1.720  53.25  19
1.838  49.59  15
2.294  39.27  12
1.435  65.00  11
3.677  24.21  9
4.589  19.34  9
1.412  66.17  8

Crystal structure
```
4
Lattice="3.6770 0.0000 0.0000 0.0000 3.6770 0.0000 0.0000 0.0000 9.1777" Properties=species:S:1:pos:R:3 pbc="T T T"
Pr 0.0000 0.0000 0.0000
Y 1.8385 1.8385 2.5600
Y 1.8385 1.8385 6.6176
Tl 0.0000 0.0000 4.5888
```



(2)
Starting from a crystal structure in Alexandria, relaxed with GGA-PBE, the XRD peak list of Pr4TlZn was simulated for Cu Kα (weighted mean of Kα1 and Kα2).
Neutral-atom scattering factors, no anomalous dispersion.

Principal peaks in the range 2θ = 15–90°, in order of falling intensity:
d/Å  Position (°2θ)  I/Imax
2.633  34.05  100
2.621  34.21  51
4.293  20.69  37
1.516  61.15  37
1.853  49.16  18
1.523  60.84  17
1.173  82.21  16
3.707  24.01  16
2.237  40.32  14
1.316  71.69  10

Crystal structure
```
6
Lattice="5.2418 0.0000 0.0000 0.0000 5.2418 0.0000 0.0000 0.0000 7.4819" Properties=species:S:1:pos:R:3 pbc="T T T"
Pr 0.0000 2.6209 1.7390
Pr 0.0000 2.6209 5.7429
Pr 2.6209 0.0000 1.7390
Pr 2.6209 0.0000 5.7429
Tl 0.0000 0.0000 3.7410
Zn 2.6209 2.6209 0.0000
```



(3)
Starting from a crystal structure in Alexandria, relaxed with GGA-PBE, the XRD peak list of Pr2TlZn6 was simulated for Cu Kα (weighted mean of Kα1 and Kα2).
Neutral-atom scattering factors, no anomalous dispersion.

Principal peaks in the range 2θ = 15–90°, in order of falling intensity:
d/Å  Position (°2θ)  I/Imax
2.667  33.61  100
2.301  39.14  56
1.742  52.53  28
1.389  67.42  26
1.415  66.03  23
3.986  22.30  21
1.329  70.93  9
1.794  50.90  9
1.145  84.60  7
1.151  84.13  6

Crystal structure
```
9
Lattice="7.9720 0.0000 0.0000 -3.9860 6.9039 0.0000 0.0000 0.0000 3.5878" Properties=species:S:1:pos:R:3 pbc="T T T"
Pr 0.0000 4.6026 0.0000
Pr 3.9860 2.3013 0.0000
Tl 0.0000 0.0000 0.0000
Zn -1.3057 2.2616 1.7939
Zn -2.6802 4.6423 1.7939
Zn 2.6115 0.0000 1.7939
Zn 1.3057 2.2616 1.7939
Zn 5.3605 0.0000 1.7939
Zn 2.6802 4.6423 1.7939
```



(4)
Starting from a crystal structure in Alexandria, relaxed with GGA-PBE, the XRD peak list of Pr8Tl2Zn was simulated for Cu Kα (weighted mean of Kα1 and Kα2).
Neutral-atom scattering factors, no anomalous dispersion.

Principal peaks in the range 2θ = 15–90°, in order of falling intensity:
d/Å  Position (°2θ)  I/Imax
2.871  31.15  100
2.749  32.57  29
2.797  31.99  21
1.610  57.23  19
1.961  46.30  15
3.098  28.82  12
1.629  56.48  9
2.107  42.93  7
1.672  54.91  6
2.352  38.26  6

Crystal structure
```
11
Lattice="9.3839 -2.7493 0.0000 9.3839 2.7493 0.0000 -0.3276 0.0000 6.9082" Properties=species:S:1:pos:R:3 pbc="T T T"
Pr 0.4449 0.0000 1.8607
Pr 3.9099 0.0000 0.7210
Pr 6.1075 0.0000 4.0740
Pr 7.6725 0.0000 0.6356
Pr 10.7677 0.0000 6.2725
Pr 12.3327 0.0000 2.8342
Pr 14.5303 0.0000 6.1871
Pr 17.9953 0.0000 5.0474
Tl 2.7424 0.0000 4.5133
Tl 15.6978 0.0000 2.3949
Zn 9.2201 0.0000 3.4541
```